Entry 1:
Starting from a crystal structure in Alexandria, relaxed with GGA-PBE, the X-ray diffraction stick pattern of InTcSn was calculated for Cu Kα.

Most intense lines, 2θ = 10–80°, most intense first:
2θ 39.6, rel. 100
2θ 71.9, rel. 23
2θ 24.0, rel. 22
2θ 27.7, rel. 21
2θ 71.8, rel. 11
2θ 57.3, rel. 11

Atomic structure:
a = 4.5455 Å, b = 4.5455 Å, c = 6.4459 Å
α = 90.00°, β = 90.00°, γ = 90.00°
Fractional coordinates of all 6 atoms:
In: 0.0000 0.0000 0.2500
In: 0.0000 0.0000 0.7500
Tc: 0.0000 0.5000 0.0000
Tc: 0.5000 0.0000 0.5000
Sn: 0.5000 0.5000 0.2500
Sn: 0.5000 0.5000 0.7500

Entry 2:
Starting from a crystal structure in Alexandria, relaxed with GGA-PBE, the X-ray diffraction stick pattern of In2Sn2Te was calculated for Cu Kα.

Most intense lines, 2θ = 10–80°, most intense first:
2θ 31.4, rel. 100
2θ 35.0, rel. 48
2θ 41.9, rel. 40
2θ 55.7, rel. 26
2θ 37.1, rel. 25
2θ 26.6, rel. 22

Atomic structure:
a = 8.5393 Å, b = 8.5393 Å, c = 8.5393 Å
α = 150.74°, β = 150.74°, γ = 41.86°
Fractional coordinates of all 5 atoms:
In: 0.2500 0.7500 0.5000
In: 0.7500 0.2500 0.5000
Sn: 0.0937 0.0937 0.0000
Sn: 0.9063 0.9063 0.0000
Te: 0.5000 0.5000 0.0000

Entry 3:
Starting from a crystal structure in Alexandria, relaxed with GGA-PBE, the X-ray diffraction stick pattern of InSn4Te6 was calculated for Cu Kα.

Most intense lines, 2θ = 10–80°, most intense first:
2θ 23.1, rel. 100
2θ 27.7, rel. 86
2θ 27.8, rel. 82
2θ 22.6, rel. 73
2θ 24.7, rel. 61
2θ 22.2, rel. 61

Atomic structure:
a = 8.5109 Å, b = 8.5712 Å, c = 13.5174 Å
α = 77.35°, β = 72.88°, γ = 64.72°
Fractional coordinates of all 22 atoms:
In: 0.0000 0.0000 0.0000
In: 0.4050 0.5482 0.5301
Sn: 0.1359 0.5884 0.2500
Sn: 0.4320 0.0731 0.4470
Sn: 0.4636 0.5723 0.9369
Sn: 0.4967 0.0903 0.7315
Sn: 0.5920 0.9516 0.1116
Sn: 0.8121 0.3566 0.2463
Sn: 0.8951 0.4526 0.5755
Sn: 0.9865 0.7911 0.7870
Te: 0.0844 0.6836 0.4639
Te: 0.2035 0.0995 0.6471
Te: 0.2324 0.1986 0.2947
Te: 0.3358 0.4902 0.7484
Te: 0.3380 0.0068 0.9503
Te: 0.4967 0.5910 0.1603
Te: 0.6418 0.7161 0.4193
Te: 0.6712 0.2207 0.4635
Te: 0.7001 0.1819 0.9107
Te: 0.7337 0.6613 0.7549
Te: 0.8569 0.0111 0.2159
Te: 0.9797 0.6664 0.0106

Entry 4:
Starting from a crystal structure in Alexandria, relaxed with GGA-PBE, the X-ray diffraction stick pattern of ThInSn3 was calculated for Cu Kα.

Most intense lines, 2θ = 10–80°, most intense first:
2θ 33.6, rel. 100
2θ 31.1, rel. 81
2θ 34.0, rel. 69
2θ 34.6, rel. 64
2θ 30.4, rel. 49
2θ 39.4, rel. 46

Atomic structure:
a = 13.3513 Å, b = 6.3817 Å, c = 6.5471 Å
α = 90.00°, β = 90.00°, γ = 90.00°
Fractional coordinates of all 20 atoms:
Th: 0.1874 0.0081 0.2500
Th: 0.1874 0.4919 0.7500
Th: 0.8126 0.5081 0.2500
Th: 0.8126 0.9919 0.7500
In: 0.3871 0.2500 0.0000
In: 0.3871 0.2500 0.5000
In: 0.6129 0.7500 0.0000
In: 0.6129 0.7500 0.5000
Sn: 0.0008 0.7500 0.0000
Sn: 0.0008 0.7500 0.5000
Sn: 0.2133 0.5108 0.2500
Sn: 0.2133 0.9892 0.7500
Sn: 0.4157 0.7105 0.7500
Sn: 0.4157 0.7895 0.2500
Sn: 0.5843 0.2105 0.7500
Sn: 0.5843 0.2895 0.2500
Sn: 0.7867 0.0108 0.2500
Sn: 0.7867 0.4892 0.7500
Sn: 0.9992 0.2500 0.0000
Sn: 0.9992 0.2500 0.5000